No. 1
Theoretical powder diffractogram
Compound: Sm6In3Pt
Radiation: copper Kα
Structure: a structure optimized by DFT (GGA-PBE)
Peak positions follow from Bragg's law for the DFT cell and can differ from measured ones.

Crystal structure
```
Sm6In3Pt
1.0
9.247 0.000 0.000
0.000 11.944 0.000
0.000 0.000 5.292
Sm In Pt
12 6 2
direct
0.012 0.238 0.000
0.158 0.083 0.500
0.186 0.412 0.500
0.314 0.912 0.000
0.342 0.583 0.000
0.488 0.738 0.500
0.512 0.262 0.500
0.658 0.417 0.000
0.686 0.088 0.000
0.814 0.588 0.500
0.842 0.917 0.500
0.988 0.762 0.000
0.000 0.500 0.000
0.154 0.723 0.500
0.346 0.223 0.000
0.500 0.000 0.500
0.654 0.777 0.000
0.846 0.277 0.500
0.000 0.000 0.000
0.500 0.500 0.500
```

Peak list (12 most intense, 15 to 90 degrees two-theta, in order of falling intensity)
29.67°, I 100
33.65°, I 97
35.84°, I 55
33.88°, I 50
45.61°, I 30
57.81°, I 20
60.47°, I 18
50.11°, I 16
58.03°, I 16
49.90°, I 13
45.36°, I 12
61.52°, I 11

No. 2
Theoretical powder diffractogram
Compound: Sm6In2Pt
Radiation: copper Kα
Structure: a structure optimized by DFT (GGA-PBE)
Peak positions follow from Bragg's law for the DFT cell and can differ from measured ones.

Crystal structure
```
Sm6In2Pt
1.0
3.883 0.000 0.000
0.000 7.676 4.435
0.000 -7.676 4.435
Sm In Pt
6 2 1
direct
0.000 0.000 0.000
0.000 0.506 0.753
0.000 0.753 0.506
0.500 0.149 0.753
0.500 0.356 0.356
0.500 0.753 0.149
0.000 0.086 0.419
0.000 0.419 0.086
0.500 0.753 0.753
```

Peak list (12 most intense, 15 to 90 degrees two-theta, in order of falling intensity)
32.80°, I 100
30.61°, I 99
30.81°, I 64
35.06°, I 59
38.73°, I 55
57.44°, I 48
59.79°, I 25
46.79°, I 23
57.07°, I 22
48.77°, I 14
86.89°, I 14
54.78°, I 12

No. 3
Theoretical powder diffractogram
Compound: Sm4In12Pt
Radiation: copper Kα
Structure: a structure optimized by DFT (GGA-PBE)
Peak positions follow from Bragg's law for the DFT cell and can differ from measured ones.

Crystal structure
```
Sm4In12Pt
1.0
-4.736 4.736 4.736
4.736 -4.736 4.736
4.736 4.736 -4.736
Sm In Pt
4 12 1
direct
0.000 0.000 0.500
0.000 0.500 0.000
0.500 0.000 0.000
0.500 0.500 0.500
0.000 0.285 0.285
0.000 0.715 0.715
0.250 0.500 0.750
0.250 0.750 0.500
0.285 0.000 0.285
0.285 0.285 0.000
0.500 0.250 0.750
0.500 0.750 0.250
0.715 0.000 0.715
0.715 0.715 0.000
0.750 0.250 0.500
0.750 0.500 0.250
0.000 0.000 0.000
```

Peak list (12 most intense, 15 to 90 degrees two-theta, in order of falling intensity)
32.75°, I 100
38.00°, I 73
54.83°, I 46
65.35°, I 32
35.46°, I 15
68.65°, I 14
26.62°, I 11
44.88°, I 10
29.83°, I 10
73.47°, I 7
81.25°, I 6
40.40°, I 6

No. 4
Theoretical powder diffractogram
Compound: Sr3In2Pt2
Radiation: copper Kα
Structure: a structure optimized by DFT (GGA-PBE)
Peak positions follow from Bragg's law for the DFT cell and can differ from measured ones.

Crystal structure
```
Sr3In2Pt2
1.0
6.256 0.000 0.000
0.000 8.441 0.000
0.000 0.000 15.009
Sr In Pt
12 8 8
direct
0.122 0.248 0.250
0.122 0.252 0.750
0.346 0.601 0.093
0.346 0.601 0.407
0.346 0.899 0.593
0.346 0.899 0.907
0.654 0.101 0.093
0.654 0.101 0.407
0.654 0.399 0.593
0.654 0.399 0.907
0.878 0.748 0.250
0.878 0.752 0.750
0.132 0.250 0.000
0.132 0.250 0.500
0.369 0.600 0.750
0.369 0.900 0.250
0.631 0.100 0.750
0.631 0.400 0.250
0.868 0.750 0.000
0.868 0.750 0.500
0.138 0.537 0.596
0.138 0.537 0.904
0.138 0.963 0.096
0.138 0.963 0.404
0.862 0.037 0.596
0.862 0.037 0.904
0.862 0.463 0.096
0.862 0.463 0.404
```

Peak list (12 most intense, 15 to 90 degrees two-theta, in order of falling intensity)
35.48°, I 100
34.97°, I 45
31.91°, I 40
18.62°, I 38
31.19°, I 31
35.07°, I 28
35.90°, I 24
29.71°, I 20
39.47°, I 18
30.48°, I 17
54.84°, I 16
38.98°, I 16

No. 5
Theoretical powder diffractogram
Compound: Sr2InPt3
Radiation: copper Kα
Structure: a structure optimized by DFT (GGA-PBE)
Peak positions follow from Bragg's law for the DFT cell and can differ from measured ones.

Crystal structure
```
Sr2InPt3
1.0
-2.294 2.899 5.839
2.294 -2.899 5.839
2.294 2.899 -5.839
Sr In Pt
2 1 3
direct
0.178 0.178 0.000
0.822 0.822 0.000
0.500 0.500 0.000
0.000 0.500 0.500
0.378 0.878 0.500
0.622 0.122 0.500
```

Peak list (12 most intense, 15 to 90 degrees two-theta, in order of falling intensity)
30.11°, I 100
43.64°, I 73
30.84°, I 65
39.27°, I 34
50.75°, I 32
24.74°, I 23
15.17°, I 21
72.56°, I 20
41.69°, I 19
54.25°, I 15
29.15°, I 15
74.22°, I 15

No. 6
Theoretical powder diffractogram
Compound: Sr3In3Pt2
Radiation: copper Kα
Structure: a structure optimized by DFT (GGA-PBE)
Peak positions follow from Bragg's law for the DFT cell and can differ from measured ones.

Crystal structure
```
Sr3In3Pt2
1.0
8.548 0.000 0.000
0.000 16.921 0.000
0.000 0.000 6.194
Sr In Pt
12 12 8
direct
0.038 0.108 0.107
0.038 0.392 0.107
0.177 0.250 0.633
0.323 0.750 0.133
0.462 0.608 0.607
0.462 0.892 0.607
0.538 0.108 0.393
0.538 0.392 0.393
0.677 0.250 0.867
0.823 0.750 0.367
0.962 0.608 0.893
0.962 0.892 0.893
0.162 0.750 0.619
0.176 0.037 0.604
0.176 0.463 0.604
0.324 0.537 0.104
0.324 0.963 0.104
0.338 0.250 0.119
0.662 0.750 0.881
0.676 0.037 0.896
0.676 0.463 0.896
0.824 0.537 0.396
0.824 0.963 0.396
0.838 0.250 0.381
0.115 0.610 0.389
0.115 0.890 0.389
0.385 0.110 0.889
0.385 0.390 0.889
0.615 0.610 0.111
0.615 0.890 0.111
0.885 0.110 0.611
0.885 0.390 0.611
```

Peak list (12 most intense, 15 to 90 degrees two-theta, in order of falling intensity)
34.66°, I 100
33.12°, I 58
37.49°, I 47
17.68°, I 36
31.17°, I 26
29.71°, I 26
53.86°, I 26
41.47°, I 25
21.30°, I 21
42.99°, I 18
31.73°, I 18
18.45°, I 18

No. 7
Theoretical powder diffractogram
Compound: SrIn4Pt4
Radiation: copper Kα
Structure: a structure optimized by DFT (GGA-PBE)
Peak positions follow from Bragg's law for the DFT cell and can differ from measured ones.

Crystal structure
```
SrIn4Pt4
1.0
6.860 0.000 0.000
0.000 6.860 0.000
0.000 0.000 8.797
Sr In Pt
2 8 8
direct
0.250 0.750 0.250
0.750 0.250 0.750
0.001 0.250 0.124
0.250 0.001 0.624
0.250 0.499 0.624
0.499 0.250 0.124
0.501 0.750 0.876
0.750 0.501 0.376
0.750 0.999 0.376
0.999 0.750 0.876
0.051 0.250 0.432
0.250 0.051 0.932
0.250 0.449 0.932
0.449 0.250 0.432
0.551 0.750 0.568
0.750 0.551 0.068
0.750 0.949 0.068
0.949 0.750 0.568
```

Peak list (12 most intense, 15 to 90 degrees two-theta, in order of falling intensity)
30.87°, I 100
42.62°, I 82
37.07°, I 81
50.62°, I 59
33.23°, I 57
16.39°, I 41
40.47°, I 35
42.94°, I 34
20.19°, I 33
53.42°, I 31
27.92°, I 29
43.20°, I 26

No. 8
Theoretical powder diffractogram
Compound: SrIn4Pt2
Radiation: copper Kα
Structure: a structure optimized by DFT (GGA-PBE)
Peak positions follow from Bragg's law for the DFT cell and can differ from measured ones.

Crystal structure
```
SrIn4Pt2
1.0
18.773 0.000 0.000
0.000 4.619 0.000
0.000 0.000 7.397
Sr In Pt
4 16 8
direct
0.141 0.250 0.031
0.359 0.750 0.531
0.641 0.250 0.469
0.859 0.750 0.969
0.034 0.750 0.852
0.071 0.250 0.496
0.186 0.750 0.330
0.190 0.750 0.738
0.310 0.250 0.238
0.314 0.250 0.830
0.429 0.750 0.996
0.466 0.250 0.352
0.534 0.750 0.648
0.571 0.250 0.004
0.686 0.750 0.170
0.690 0.750 0.762
0.810 0.250 0.262
0.814 0.250 0.670
0.929 0.750 0.504
0.966 0.250 0.148
0.040 0.750 0.254
0.218 0.250 0.536
0.282 0.750 0.036
0.460 0.250 0.754
0.540 0.750 0.246
0.718 0.250 0.964
0.782 0.750 0.464
0.960 0.250 0.746
```

Peak list (12 most intense, 15 to 90 degrees two-theta, in order of falling intensity)
32.44°, I 100
42.63°, I 88
39.00°, I 61
33.04°, I 57
35.61°, I 31
43.24°, I 21
18.91°, I 19
34.63°, I 19
53.83°, I 19
88.31°, I 17
39.33°, I 17
31.35°, I 17

Repeat the second record exactly.
Theoretical powder diffractogram
Compound: Sm6In2Pt
Radiation: copper Kα
Structure: a structure optimized by DFT (GGA-PBE)
Peak positions follow from Bragg's law for the DFT cell and can differ from measured ones.

Crystal structure
```
Sm6In2Pt
1.0
3.883 0.000 0.000
0.000 7.676 4.435
0.000 -7.676 4.435
Sm In Pt
6 2 1
direct
0.000 0.000 0.000
0.000 0.506 0.753
0.000 0.753 0.506
0.500 0.149 0.753
0.500 0.356 0.356
0.500 0.753 0.149
0.000 0.086 0.419
0.000 0.419 0.086
0.500 0.753 0.753
```

Peak list (12 most intense, 15 to 90 degrees two-theta, in order of falling intensity)
32.80°, I 100
30.61°, I 99
30.81°, I 64
35.06°, I 59
38.73°, I 55
57.44°, I 48
59.79°, I 25
46.79°, I 23
57.07°, I 22
48.77°, I 14
86.89°, I 14
54.78°, I 12